Diffraction record for Ni4Mo6CN. The powder diffraction line list is computed, not measured: it uses a structure optimized by DFT (PBE) and Cu Kα (λ = 1.5418 Å).
Lines closer than 0.1° are merged.

Top 10 peaks for 15 to 90 degrees two-theta, by angle:
2θ (°)	I_rel
29.89	8
40.47	100
40.54	20
42.78	69
44.98	31
58.62	6
71.96	9
72.06	15
76.70	8
76.83	14

Atomic structure:
```
data_Ni4Mo6CN
_cell_length_a 9.441
_cell_length_b 9.469
_cell_length_c 6.682
_cell_angle_alpha 90.00
_cell_angle_beta 90.00
_cell_angle_gamma 90.00
_space_group_name_H-M_alt 'C 2 2 21'
_space_group_IT_number 20
loop_
_space_group_symop_operation_xyz
'x,y,z'
'-x,-y,z+1/2'
'x,-y,-z'
'-x,y,-z+1/2'
'x+1/2,y+1/2,z'
'-x+1/2,-y+1/2,z+1/2'
'x+1/2,-y+1/2,-z'
'-x+1/2,y+1/2,-z+1/2'
loop_
_atom_site_label
_atom_site_fract_x
_atom_site_fract_y
_atom_site_fract_z
_atom_site_occupancy
Ni1 0.125 0.193 0.193 1
Ni2 0.193 0.375 0.943 1
Mo1 0.000 0.452 0.250 1
Mo2 0.050 0.000 0.500 1
Mo3 0.088 0.288 0.576 1
Mo4 0.212 0.087 0.826 1
C1 0.000 0.126 0.750 1
N1 0.124 0.500 0.500 1
```